No. 1
Computed powder X-ray diffraction pattern of MnTc8 for copper Kα, from a GGA-PBE-relaxed structure.

Cell and atoms:
```
MnTc8
1.0
-4.0973 4.0973 1.9208
4.0973 -4.0973 1.9208
4.0973 4.0973 -1.9208
Mn Tc
1 8
direct
0.0000 0.0000 0.0000
0.0000 0.3309 0.3309
0.0000 0.6691 0.6691
0.3309 0.0000 0.3309
0.3352 0.3352 0.6703
0.3352 0.6648 0.0000
0.6648 0.3352 0.0000
0.6648 0.6648 0.3297
0.6691 0.0000 0.6691
```

The 12 most intense peaks (10° ≤ 2θ ≤ 90°), most intense first:
2θ 40.52, I = 100
2θ 47.05, I = 32
2θ 82.94, I = 24
2θ 68.95, I = 20
2θ 47.33, I = 16
2θ 83.35, I = 12
2θ 87.67, I = 10
2θ 68.73, I = 10
2θ 33.80, I = 1
2θ 25.61, I = 1
2θ 15.29, I = 1
2θ 21.69, I = 1


No. 2
Computed powder X-ray diffraction pattern of Li3BiB2O6 for copper Kα, from a GGA-PBE-relaxed structure.

Cell and atoms:
```
Li3BiB2O6
1.0
9.0263 0.0000 0.0000
0.0000 6.5148 0.0000
-4.7131 0.0000 9.1618
Li Bi B O
12 4 8 24
direct
0.1109 0.2429 0.4787
0.1109 0.2571 0.9787
0.2026 0.5626 0.1676
0.2026 0.9374 0.6676
0.3430 0.7209 0.5482
0.3430 0.7791 0.0482
0.6570 0.2209 0.9518
0.6570 0.2791 0.4518
0.7974 0.0626 0.3324
0.7974 0.4374 0.8324
0.8891 0.7429 0.0213
0.8891 0.7571 0.5213
0.3097 0.0252 0.2998
0.3097 0.4748 0.7998
0.6903 0.5252 0.2002
0.6903 0.9748 0.7002
0.0406 0.6664 0.8264
0.0406 0.8336 0.3264
0.4529 0.1672 0.1096
0.4529 0.3328 0.6096
0.5471 0.6672 0.3904
0.5471 0.8328 0.8904
0.9594 0.1664 0.6736
0.9594 0.3336 0.1736
0.0807 0.7116 0.7136
0.0807 0.7884 0.2136
0.1117 0.2107 0.6784
0.1117 0.2893 0.1784
0.1626 0.5646 0.9488
0.1626 0.9354 0.4488
0.3011 0.0684 0.0625
0.3011 0.4316 0.5625
0.4327 0.6688 0.2435
0.4327 0.8312 0.7435
0.4925 0.2240 0.5140
0.4925 0.2760 0.0140
0.5075 0.7240 0.9860
0.5075 0.7760 0.4860
0.5673 0.1688 0.2565
0.5673 0.3312 0.7565
0.6989 0.5684 0.4375
0.6989 0.9316 0.9375
0.8374 0.0646 0.5512
0.8374 0.4354 0.0512
0.8883 0.7107 0.8216
0.8883 0.7893 0.3216
0.9193 0.2116 0.7864
0.9193 0.2884 0.2864
```

The 12 most intense peaks (10° ≤ 2θ ≤ 90°), most intense first:
2θ 17.41, I = 100
2θ 22.39, I = 49
2θ 19.38, I = 28
2θ 21.77, I = 24
2θ 35.49, I = 23
2θ 43.79, I = 22
2θ 35.75, I = 22
2θ 11.02, I = 20
2θ 31.30, I = 19
2θ 29.49, I = 18
2θ 32.38, I = 17
2θ 38.44, I = 16


No. 3
Computed powder X-ray diffraction pattern of PaAg2F8 for copper Kα, from a GGA-PBE-relaxed structure.

Cell and atoms:
```
PaAg2F8
1.0
7.3027 0.0000 0.0000
-3.6513 6.3243 0.0000
0.0000 0.0000 4.3465
Pa Ag F
1 2 8
direct
0.0000 0.0000 0.0000
0.3333 0.6667 0.7146
0.6667 0.3333 0.2854
0.1409 0.2834 0.7425
0.1425 0.8591 0.7425
0.2834 0.1425 0.2575
0.3333 0.6667 0.2161
0.6667 0.3333 0.7839
0.7166 0.8575 0.7425
0.8575 0.1409 0.2575
0.8591 0.7166 0.2575
```

The 12 most intense peaks (10° ≤ 2θ ≤ 90°), most intense first:
2θ 24.38, I = 100
2θ 24.86, I = 82
2θ 43.19, I = 44
2θ 14.00, I = 30
2θ 57.30, I = 25
2θ 35.09, I = 24
2θ 49.96, I = 21
2θ 42.90, I = 21
2θ 50.99, I = 21
2θ 44.06, I = 20
2θ 32.01, I = 16
2θ 56.58, I = 16


No. 4
Computed powder X-ray diffraction pattern of PrDyRhI for copper Kα, from a GGA-PBE-relaxed structure.

Cell and atoms:
```
PrDyRhI
1.0
4.1258 0.0000 0.0000
-2.0629 3.5730 0.0000
0.0000 0.0000 24.3134
Pr Dy Rh I
3 3 3 3
direct
0.0000 0.0000 0.0000
0.3333 0.6667 0.6667
0.6667 0.3333 0.3333
0.0000 0.0000 0.2109
0.3333 0.6667 0.8776
0.6667 0.3333 0.5442
0.0000 0.0000 0.6018
0.3333 0.6667 0.2685
0.6667 0.3333 0.9352
0.0000 0.0000 0.7752
0.3333 0.6667 0.4419
0.6667 0.3333 0.1085
```

The 12 most intense peaks (10° ≤ 2θ ≤ 90°), most intense first:
2θ 31.06, I = 100
2θ 43.89, I = 46
2θ 28.99, I = 30
2θ 45.10, I = 21
2θ 54.74, I = 20
2θ 10.92, I = 18
2θ 25.99, I = 18
2θ 72.66, I = 17
2θ 56.10, I = 15
2θ 36.06, I = 12
2θ 33.16, I = 11
2θ 25.19, I = 10


No. 5
Computed powder X-ray diffraction pattern of KAs2HO6 for copper Kα, from a GGA-PBE-relaxed structure.

Cell and atoms:
```
KAs2HO6
1.0
6.2221 0.0000 0.0000
0.0000 9.8203 0.0000
-0.8891 0.0000 9.3052
K As H O
4 8 4 24
direct
0.1053 0.1916 0.4844
0.1053 0.3084 0.9844
0.8947 0.6916 0.0156
0.8947 0.8084 0.5156
0.3422 0.6100 0.7536
0.3422 0.8900 0.2536
0.3855 0.5982 0.4164
0.3855 0.9018 0.9164
0.6145 0.0982 0.0836
0.6145 0.4018 0.5836
0.6578 0.1100 0.7464
0.6578 0.3900 0.2464
0.0483 0.5452 0.2866
0.0483 0.9548 0.7866
0.9517 0.0452 0.2134
0.9517 0.4548 0.7134
0.1160 0.5541 0.8194
0.1160 0.9459 0.3194
0.1191 0.6292 0.3322
0.1191 0.8708 0.8322
0.2960 0.6866 0.5851
0.2960 0.8134 0.0851
0.3369 0.0716 0.9952
0.3369 0.4284 0.4952
0.4609 0.5176 0.2416
0.4609 0.9824 0.7416
0.4868 0.7308 0.8637
0.4868 0.7692 0.3637
0.5132 0.2308 0.6363
0.5132 0.2692 0.1363
0.5391 0.0176 0.2584
0.5391 0.4824 0.7584
0.6631 0.5716 0.5048
0.6631 0.9284 0.0048
0.7040 0.1866 0.9149
0.7040 0.3134 0.4149
0.8809 0.1292 0.1678
0.8809 0.3708 0.6678
0.8840 0.0541 0.6806
0.8840 0.4459 0.1806
```

The 12 most intense peaks (10° ≤ 2θ ≤ 90°), most intense first:
2θ 24.53, I = 100
2θ 13.11, I = 93
2θ 14.30, I = 90
2θ 20.11, I = 88
2θ 16.92, I = 80
2θ 34.19, I = 53
2θ 30.26, I = 49
2θ 30.90, I = 48
2θ 32.34, I = 35
2θ 25.01, I = 28
2θ 21.13, I = 25
2θ 44.24, I = 23


No. 6
Computed powder X-ray diffraction pattern of Zr4ZnPd for copper Kα, from a GGA-PBE-relaxed structure.

Cell and atoms:
```
Zr4ZnPd
1.0
6.8174 0.0000 0.0000
0.0000 6.8174 0.0000
0.0000 0.0000 5.2411
Zr Zn Pd
8 2 2
direct
0.1553 0.3447 0.2500
0.1553 0.6553 0.7500
0.3447 0.1553 0.7500
0.3447 0.8447 0.2500
0.6553 0.1553 0.2500
0.6553 0.8447 0.7500
0.8447 0.3447 0.7500
0.8447 0.6553 0.2500
0.0000 0.0000 0.0000
0.5000 0.5000 0.5000
0.0000 0.0000 0.5000
0.5000 0.5000 0.0000
```

The 12 most intense peaks (10° ≤ 2θ ≤ 90°), most intense first:
2θ 34.02, I = 100
2θ 41.91, I = 49
2θ 39.13, I = 36
2θ 43.56, I = 30
2θ 68.50, I = 21
2θ 61.14, I = 18
2θ 65.31, I = 17
2θ 37.31, I = 12
2θ 77.58, I = 12
2θ 87.02, I = 11
2θ 58.54, I = 11
2θ 60.76, I = 8


No. 7
Computed powder X-ray diffraction pattern of SmHo3Th2 for copper Kα, from a GGA-PBE-relaxed structure.

Cell and atoms:
```
SmHo3Th2
1.0
10.0569 0.0000 0.0000
0.0000 3.5687 0.0000
-0.0578 0.0000 10.6656
Sm Ho Th
2 6 4
direct
0.1234 0.2500 0.2506
0.8766 0.7500 0.7494
0.1332 0.2500 0.9179
0.3709 0.7500 0.4175
0.3756 0.7500 0.7504
0.6244 0.2500 0.2496
0.6291 0.2500 0.5825
0.8668 0.7500 0.0821
0.1248 0.2500 0.5811
0.3797 0.7500 0.0815
0.6203 0.2500 0.9185
0.8752 0.7500 0.4189
```

The 12 most intense peaks (10° ≤ 2θ ≤ 90°), most intense first:
2θ 30.72, I = 100
2θ 35.67, I = 67
2θ 60.97, I = 34
2θ 30.88, I = 33
2θ 51.23, I = 24
2θ 51.44, I = 24
2θ 61.13, I = 19
2θ 63.98, I = 12
2θ 83.59, I = 8
2θ 86.24, I = 8
2θ 86.56, I = 8
2θ 84.06, I = 6


No. 8
Computed powder X-ray diffraction pattern of SmMg2TaN4 for copper Kα, from a GGA-PBE-relaxed structure.

Cell and atoms:
```
SmMg2TaN4
1.0
7.2772 0.0000 0.0000
0.0000 6.0703 0.0000
0.0000 0.0000 5.3746
Sm Mg Ta N
2 4 2 8
direct
0.0000 0.1682 0.0000
0.5000 0.8318 0.5000
0.2492 0.3337 0.5129
0.2508 0.6663 0.0129
0.7492 0.6663 0.0129
0.7508 0.3337 0.5129
0.0000 0.8131 0.5193
0.5000 0.1869 0.0193
0.0000 0.1354 0.4506
0.0000 0.8008 0.8818
0.2228 0.6635 0.4044
0.2772 0.3365 0.9044
0.5000 0.1992 0.3818
0.5000 0.8646 0.9506
0.7228 0.3365 0.9044
0.7772 0.6635 0.4044
```

The 12 most intense peaks (10° ≤ 2θ ≤ 90°), most intense first:
2θ 33.19, I = 100
2θ 22.09, I = 93
2θ 24.46, I = 45
2θ 33.34, I = 42
2θ 33.92, I = 35
2θ 28.60, I = 31
2θ 51.69, I = 26
2θ 14.59, I = 25
2θ 59.49, I = 25
2θ 42.26, I = 25
2θ 62.91, I = 24
2θ 29.43, I = 24


> What is the formula in the fourth record?

PrDyRhI